Starting from a PBE-relaxed structure, the powder X-ray diffraction pattern of Tb4Pm2Sm2Dy was calculated for a wavelength of 1.5418 Å.

Cell and atoms:
Cell: 9.5820 9.5820 9.6420 Å, 115.22 115.22 21.80°
Positions (direct):
Tb 0.0188 0.0188 0.3321
Tb 0.3151 0.3151 0.6658
Tb 0.6849 0.6849 0.3342
Tb 0.9812 0.9812 0.6679
Pm 0.1656 0.1656 0.0002
Pm 0.8344 0.8344 0.9998
Sm 0.3524 0.3524 0.3358
Sm 0.6476 0.6476 0.6642
Dy 0.5000 0.5000 0.0000

The 10 most intense peaks (10° ≤ 2θ ≤ 90°), low angle first:
- 2θ = 28.66°, I 36
- 2θ = 29.28°, I 16
- 2θ = 30.88°, I 50
- 2θ = 31.65°, I 100
- 2θ = 33.33°, I 88
- 2θ = 50.37°, I 39
- 2θ = 54.31°, I 22
- 2θ = 57.57°, I 19
- 2θ = 60.26°, I 45
- 2θ = 85.95°, I 18


Starting from a PBE-relaxed structure, the powder X-ray diffraction pattern of Pm3Sm4DyTe8 was calculated for a wavelength of 1.5418 Å.

Cell and atoms:
Cell: 8.8800 8.8800 8.8800 Å, 60.07 60.07 60.07°
Positions (direct):
Pm 0.0000 0.5000 0.5000
Pm 0.5000 0.0000 0.5000
Pm 0.5000 0.5000 0.0000
Sm 0.0000 0.0000 0.5000
Sm 0.0000 0.5000 0.0000
Sm 0.5000 0.0000 0.0000
Sm 0.5000 0.5000 0.5000
Dy 0.0000 0.0000 0.0000
Te 0.2460 0.7528 0.7528
Te 0.2472 0.2472 0.7540
Te 0.2472 0.7540 0.2472
Te 0.2494 0.2494 0.2494
Te 0.7506 0.7506 0.7506
Te 0.7528 0.2460 0.7528
Te 0.7528 0.7528 0.2460
Te 0.7540 0.2472 0.2472

The 10 most intense peaks (10° ≤ 2θ ≤ 90°), low angle first:
- 2θ = 24.54°, I 2
- 2θ = 28.41°, I 100
- 2θ = 40.62°, I 76
- 2θ = 50.31°, I 27
- 2θ = 58.79°, I 13
- 2θ = 66.56°, I 35
- 2θ = 73.88°, I 19
- 2θ = 73.98°, I 6
- 2θ = 87.86°, I 4
- 2θ = 87.98°, I 4


Starting from a PBE-relaxed structure, the powder X-ray diffraction pattern of PmSmDy2Te6 was calculated for a wavelength of 1.5418 Å.

Cell and atoms:
Cell: 8.3849 8.3849 8.3849 Å, 55.36 55.36 55.36°
Positions (direct):
Pm 0.0000 0.0000 0.0000
Sm 0.5005 0.5005 0.5005
Dy 0.1882 0.1882 0.1882
Dy 0.6886 0.6886 0.6886
Te 0.0860 0.4147 0.7908
Te 0.2929 0.9143 0.5838
Te 0.4147 0.7908 0.0860
Te 0.5838 0.2929 0.9143
Te 0.7908 0.0860 0.4147
Te 0.9143 0.5838 0.2929

The 10 most intense peaks (10° ≤ 2θ ≤ 90°), low angle first:
- 2θ = 15.56°, I 35
- 2θ = 21.30°, I 27
- 2θ = 26.11°, I 93
- 2θ = 31.42°, I 23
- 2θ = 34.24°, I 100
- 2θ = 40.10°, I 64
- 2θ = 44.93°, I 21
- 2θ = 53.72°, I 26
- 2θ = 67.34°, I 20
- 2θ = 69.11°, I 23